Structure and simulated X-ray powder pattern of Li2NiC2O6 (a cell relaxed with PBE+U; CuKα).
Lines closer than 0.1° are merged.

Top 6 peaks for 10 to 90 degrees two-theta, sorted by position:
| d_spacing | 2theta | intensity | (hkl) |
| --- | --- | --- | --- |
| 4.639 | 19.1 | 71.1 | 1 1 0 |
| 4.549 | 19.5 | 34.0 | 0 1 -1 |
| 4.461 | 19.9 | 100.0 | 1 0 1 |
| 3.788 | 23.5 | 23.7 | 1 0 -1 |
| 2.835 | 31.6 | 40.4 | 0 2 0 |
| 2.005 | 45.2 | 23.7 | 0 0 4 |

Crystal structure
a = 5.284 Å, b = 6.206 Å, c = 8.229 Å
α = 82.94°, β = 77.36°, γ = 66.12°
Element x y z (fractional)
1 Li 0.000 0.000 0.000
2 Li 0.143 0.537 0.535
3 Li 0.336 0.917 0.311
4 Li 0.561 0.508 0.820
5 Ni 0.032 0.518 0.171
6 Ni 0.651 0.040 0.667
7 C 0.416 0.132 0.963
8 C 0.642 0.466 0.452
9 C 0.812 0.930 0.374
10 C 0.924 0.623 0.887
11 O 0.147 0.638 0.922
12 O 0.287 0.171 0.117
13 O 0.304 0.079 0.856
14 O 0.471 0.554 0.350
15 O 0.547 0.397 0.603
16 O 0.555 0.976 0.450
17 O 0.661 0.144 0.906
18 O 0.766 0.556 0.008
19 O 0.857 0.672 0.740
20 O 0.903 0.865 0.221
21 O 0.904 0.445 0.411
22 O 0.981 0.946 0.461